The following is a theoretical powder XRD pattern of Pt4Br5. It was derived from DFT lattice parameters and positions (GGA-PBE), using CuKα.

Most intense lines, 2θ from 10° to 90°, in order of rising 2θ:
Position (°2θ)	I_rel	h k l
11.73	556	1 1 0
16.62	128	2 0 0
35.72	518	3 3 0
37.10	1000	3 0 1
44.44	166	4 1 1
51.41	161	6 0 0
65.08	294	6 3 1
67.77	162	3 3 2
79.04	92	6 0 2
87.44	91	9 0 1

Crystal structure
Lattice parameters (Å, degrees): 10.665 10.665 3.311 90.00 90.00 90.00
Space group I4/mmm (No. 139)
One atom of each set of equivalent atoms:
1 Pt 0.000 0.357 0.000 x8
2 Br 0.000 0.000 0.000 x2
3 Br 0.166 0.166 0.500 x8


The following is a theoretical powder XRD pattern of Pt2Br. It was derived from DFT lattice parameters and positions (GGA-PBE), using CuKα.

Most intense lines, 2θ from 10° to 90°, in order of rising 2θ:
Position (°2θ)	I_rel	h k l
21.54	414	0 2 1
35.49	1000	1 3 1
35.74	446	1 5 0
38.88	431	0 0 2
40.18	216	0 2 2
40.86	872	1 5 1
53.83	279	1 5 2
54.32	310	0 10 1
68.19	247	1 3 3
78.96	211	2 10 1

Crystal structure
Lattice parameters (Å, degrees): 3.484 18.136 4.633 90.00 90.00 90.00
Space group Cmcm (No. 63)
One atom of each set of equivalent atoms:
1 Pt 0.000 0.031 0.250 x4
2 Pt 0.000 0.425 0.250 x4
3 Br 0.000 0.173 0.750 x4


The following is a theoretical powder XRD pattern of Pt5Br4. It was derived from DFT lattice parameters and positions (GGA-PBE), using CuKα.

Most intense lines, 2θ from 10° to 90°, in order of rising 2θ:
Position (°2θ)	I_rel	h k l
12.04	429	1 1 0
17.06	100	2 0 0
36.68	485	3 3 0
37.69	1000	3 0 1
45.31	133	4 1 1
52.85	149	6 0 0
55.88	123	0 0 2
66.72	265	6 3 1
68.70	161	3 3 2
80.49	89	6 0 2

Crystal structure
Lattice parameters (Å, degrees): 10.394 10.394 3.292 90.00 90.00 90.00
Space group I4/mmm (No. 139)
One atom of each set of equivalent atoms:
1 Pt 0.000 0.000 0.000 x2
2 Pt 0.170 0.170 0.500 x8
3 Br 0.000 0.286 0.000 x8


The following is a theoretical powder XRD pattern of RbPtBr. It was derived from DFT lattice parameters and positions (GGA-PBE), using CuKα.

Most intense lines, 2θ from 10° to 90°, in order of rising 2θ:
Position (°2θ)	I_rel	h k l
10.05	1000	0 2 0
17.11	981	1 1 0
22.33	283	1 3 0
27.10	656	1 1 1
30.27	379	1 5 0
30.73	565	1 3 1
33.04	497	2 0 0
37.05	234	1 5 1
37.22	401	0 6 1
50.61	334	2 6 1

Crystal structure
Lattice parameters (Å, degrees): 5.423 17.599 4.260 90.00 90.00 90.00
Space group Cmc2_1 (No. 36)
One atom of each set of equivalent atoms:
1 Rb 0.000 0.119 0.000 x4
2 Pt 0.000 0.463 0.116 x4
3 Br 0.000 0.328 0.936 x4


The following is a theoretical powder XRD pattern of RbTl2PtBr6. It was derived from DFT lattice parameters and positions (GGA-PBE), using CuKα.

Most intense lines, 2θ from 10° to 90°, in order of rising 2θ:
Position (°2θ)	I_rel	h k l
10.55	1000	0 0 6
23.80	407	1 1 0
26.09	215	1 1 6
28.96	153	2 0 5
30.27	355	0 2 7
32.06	293	0 0 18
33.92	304	2 0 11
41.86	146	3 0 0
48.71	293	2 2 0
49.98	131	2 2 6

Crystal structure
Lattice parameters (Å, degrees): 7.4787 7.4787 50.3138 90.00 90.00 120.00
Space group R-3m (No. 166, hexagonal axes)
One atom of each set of equivalent atoms:
1 Rb 0.0000 0.0000 0.0831 x6
2 Tl 0.0000 0.0000 0.1847 x6
3 Tl 0.0000 0.0000 0.3519 x6
4 Pt 0.0000 0.0000 0.0000 x3
5 Pt 0.0000 0.0000 0.5000 x3
6 Br 0.0052 0.5026 0.6373 x18
7 Br 0.0072 0.5036 0.1960 x18


The following is a theoretical powder XRD pattern of Rb2YPtBr6. It was derived from DFT lattice parameters and positions (GGA-PBE), using CuKα.

Most intense lines, 2θ from 10° to 90°, in order of rising 2θ:
Position (°2θ)	I_rel	h k l
15.52	458	1 1 0
22.02	228	2 0 0
22.78	426	1 1 2
27.68	457	2 0 2
31.34	1000	2 2 0
33.49	412	0 0 4
44.91	362	4 0 0
46.52	643	2 2 4
57.16	345	4 0 4
84.00	232	6 2 4

Crystal structure
Lattice parameters (Å, degrees): 8.074 8.074 10.703 90.00 90.00 90.00
Space group I4/mmm (No. 139)
One atom of each set of equivalent atoms:
1 Rb 0.000 0.500 0.250 x4
2 Y 0.000 0.000 0.000 x2
3 Pt 0.000 0.000 0.500 x2
4 Br 0.000 0.000 0.262 x4
5 Br 0.245 0.245 0.000 x8


The following is a theoretical powder XRD pattern of PtRhBr. It was derived from DFT lattice parameters and positions (GGA-PBE), using CuKα.

Most intense lines, 2θ from 10° to 90°, in order of rising 2θ:
Position (°2θ)	I_rel	h k l
17.31	162	0 0 1
28.13	100	1 0 0
33.22	1000	1 0 1
45.52	388	0 1 2
49.78	309	1 1 0
61.16	173	0 2 1
61.70	113	0 1 3
69.73	109	2 0 2
76.23	79	1 1 3
82.64	150	2 1 1

Crystal structure
Lattice parameters (Å, degrees): 3.6635 3.6635 5.1220 90.00 90.00 120.00
Space group P3m1 (No. 156)
One atom of each set of equivalent atoms:
1 Pt 0.0000 0.0000 0.0000 x1
2 Rh 0.6667 0.3333 0.2788 x1
3 Br 0.3333 0.6667 0.5508 x1


The following is a theoretical powder XRD pattern of PtRh2Br. It was derived from DFT lattice parameters and positions (GGA-PBE), using CuKα.

Most intense lines, 2θ from 10° to 90°, in order of rising 2θ:
Position (°2θ)	I_rel	h k l
12.98	907	0 0 1
32.12	334	1 0 1
37.37	1000	0 1 2
39.66	783	1 1 0
41.93	808	1 1 1
48.16	201	0 1 3
50.02	411	1 0 3
73.45	274	2 1 2
76.68	232	1 2 3
82.50	235	1 1 5

Crystal structure
Lattice parameters (Å, degrees): 3.053 3.397 6.820 90.00 90.00 90.00
Space group Pmmm (No. 47)
One atom of each set of equivalent atoms:
1 Pt 0.000 0.000 0.000 x1
2 Rh 0.500 0.500 0.203 x2
3 Br 0.500 0.000 0.500 x1